Simulated powder diffractogram
Compound: Co3Ni3Rh2
Radiation: Cu Kα
Structure: a crystal structure in Alexandria, relaxed with GGA-PBE

Top 10 peaks for 10° ≤ 2θ ≤ 80°, sorted by position:
23.15 deg, d = 3.841 Å, I = 2; 29.41 deg, d = 3.037 Å, I = 3; 33.87 deg, d = 2.647 Å, I = 2; 39.57 deg, d = 2.278 Å, I = 1; 40.34 deg, d = 2.236 Å, I = 25; 43.75 deg, d = 2.069 Å, I = 27; 46.14 deg, d = 1.967 Å, I = 100; 61.01 deg, d = 1.519 Å, I = 14; 67.39 deg, d = 1.390 Å, I = 1; 73.34 deg, d = 1.291 Å, I = 15

Atomic structure:
```
Co3Ni3Rh2
1.0
4.138 0.000 0.000
0.000 10.328 0.000
0.000 0.000 4.472
Co Ni Rh
6 6 4
Direct
0.250 0.001 0.160 Co
0.250 0.499 0.160 Co
0.250 0.750 0.167 Co
0.750 0.250 0.833 Co
0.750 0.501 0.840 Co
0.750 0.999 0.840 Co
0.250 0.250 0.157 Ni
0.250 0.630 0.683 Ni
0.250 0.870 0.683 Ni
0.750 0.130 0.317 Ni
0.750 0.370 0.317 Ni
0.750 0.750 0.843 Ni
0.250 0.120 0.658 Rh
0.250 0.380 0.658 Rh
0.750 0.620 0.342 Rh
0.750 0.880 0.342 Rh
```

***

Simulated powder diffractogram
Compound: Ti2BeZnC
Radiation: Cu Kα
Structure: a crystal structure in Alexandria, relaxed with GGA-PBE

Top 10 peaks for 10° ≤ 2θ ≤ 80°, sorted by position:
27.25 deg, d = 3.272 Å, I = 21; 32.37 deg, d = 2.765 Å, I = 66; 37.61 deg, d = 2.392 Å, I = 52; 39.78 deg, d = 2.266 Å, I = 100; 40.20 deg, d = 2.243 Å, I = 18; 41.71 deg, d = 2.166 Å, I = 73; 42.88 deg, d = 2.109 Å, I = 37; 51.13 deg, d = 1.786 Å, I = 25; 59.95 deg, d = 1.543 Å, I = 19; 76.51 deg, d = 1.245 Å, I = 21

Atomic structure:
```
Ti2BeZnC
1.0
6.586 0.000 0.000
0.000 3.086 0.000
-2.593 0.000 6.219
Ti Be Zn C
4 2 2 2
Direct
0.111 0.250 0.387 Ti
0.191 0.250 0.995 Ti
0.809 0.750 0.005 Ti
0.889 0.750 0.613 Ti
0.425 0.750 0.365 Be
0.575 0.250 0.635 Be
0.345 0.750 0.738 Zn
0.655 0.250 0.262 Zn
0.150 0.750 0.193 C
0.850 0.250 0.807 C
```

***

Simulated powder diffractogram
Compound: Pr5Au2O2
Radiation: Cu Kα
Structure: a crystal structure in Alexandria, relaxed with GGA-PBE

Top 10 peaks for 10° ≤ 2θ ≤ 80°, sorted by position:
25.59 deg, d = 3.481 Å, I = 26; 26.80 deg, d = 3.327 Å, I = 39; 31.52 deg, d = 2.838 Å, I = 78; 31.99 deg, d = 2.798 Å, I = 100; 33.80 deg, d = 2.652 Å, I = 54; 36.08 deg, d = 2.489 Å, I = 73; 37.38 deg, d = 2.406 Å, I = 23; 38.28 deg, d = 2.351 Å, I = 40; 52.61 deg, d = 1.740 Å, I = 26; 53.61 deg, d = 1.710 Å, I = 26

Atomic structure:
```
Pr5Au2O2
1.0
-9.402 3.561 3.481
9.402 -3.561 3.481
9.402 3.561 -3.481
Pr Au O
10 4 4
Direct
0.019 0.895 0.624 Pr
0.244 0.017 0.261 Pr
0.244 0.483 0.727 Pr
0.271 0.395 0.376 Pr
0.661 0.086 0.292 Pr
0.661 0.869 0.074 Pr
0.756 0.517 0.273 Pr
0.756 0.983 0.739 Pr
0.794 0.369 0.708 Pr
0.794 0.586 0.926 Pr
0.242 0.368 0.087 Au
0.242 0.655 0.374 Au
0.281 0.155 0.913 Au
0.281 0.868 0.626 Au
0.732 0.556 0.677 O
0.746 0.246 0.500 O
0.746 0.746 0.000 O
0.879 0.056 0.323 O
```

***

Simulated powder diffractogram
Compound: SmYCo
Radiation: Cu Kα
Structure: a crystal structure in Alexandria, relaxed with GGA-PBE

Top 10 peaks for 10° ≤ 2θ ≤ 80°, sorted by position:
13.79 deg, d = 6.420 Å, I = 12; 27.03 deg, d = 3.298 Å, I = 33; 27.79 deg, d = 3.210 Å, I = 22; 33.58 deg, d = 2.668 Å, I = 100; 37.26 deg, d = 2.413 Å, I = 59; 44.13 deg, d = 2.052 Å, I = 38; 47.11 deg, d = 1.929 Å, I = 21; 64.80 deg, d = 1.439 Å, I = 14; 64.92 deg, d = 1.436 Å, I = 14; 70.46 deg, d = 1.336 Å, I = 18

Atomic structure:
```
SmYCo
1.0
6.645 -1.704 0.000
6.645 1.704 0.000
-1.764 0.000 6.605
Sm Y Co
2 2 2
Direct
0.128 0.128 0.065 Sm
0.872 0.872 0.935 Sm
0.127 0.127 0.563 Y
0.873 0.873 0.437 Y
0.499 0.499 0.254 Co
0.501 0.501 0.746 Co
```

***

Simulated powder diffractogram
Compound: TiTl2Te3O12
Radiation: Cu Kα
Structure: a crystal structure in Alexandria, relaxed with GGA-PBE

Top 10 peaks for 10° ≤ 2θ ≤ 80°, sorted by position:
24.47 deg, d = 3.637 Å, I = 14; 24.62 deg, d = 3.617 Å, I = 29; 28.83 deg, d = 3.097 Å, I = 100; 28.97 deg, d = 3.082 Å, I = 14; 30.12 deg, d = 2.967 Å, I = 14; 43.15 deg, d = 2.097 Å, I = 13; 45.90 deg, d = 1.977 Å, I = 23; 46.08 deg, d = 1.970 Å, I = 12; 50.17 deg, d = 1.819 Å, I = 20; 50.47 deg, d = 1.808 Å, I = 17

Atomic structure:
```
TiTl2Te3O12
1.0
6.252 -3.637 0.000
6.252 3.637 0.000
-4.137 0.000 5.934
Ti Tl Te O
1 2 3 12
Direct
0.000 0.000 0.000 Ti
0.375 0.353 0.636 Tl
0.647 0.625 0.364 Tl
0.498 0.002 0.000 Te
0.998 0.002 0.500 Te
0.998 0.502 0.000 Te
0.062 0.683 0.935 O
0.063 0.069 0.319 O
0.067 0.676 0.326 O
0.317 0.938 0.065 O
0.323 0.328 0.070 O
0.324 0.933 0.674 O
0.672 0.073 0.325 O
0.672 0.677 0.930 O
0.678 0.069 0.934 O
0.927 0.328 0.675 O
0.931 0.322 0.066 O
0.931 0.937 0.681 O
```

***

Simulated powder diffractogram
Compound: HoMg4Cu
Radiation: Cu Kα
Structure: a crystal structure in Alexandria, relaxed with GGA-PBE

Top 10 peaks for 10° ≤ 2θ ≤ 80°, sorted by position:
12.06 deg, d = 7.336 Å, I = 39; 20.84 deg, d = 4.263 Å, I = 68; 21.02 deg, d = 4.227 Å, I = 57; 26.46 deg, d = 3.369 Å, I = 56; 29.77 deg, d = 3.001 Å, I = 71; 32.22 deg, d = 2.778 Å, I = 78; 34.03 deg, d = 2.635 Å, I = 100; 38.29 deg, d = 2.351 Å, I = 43; 42.79 deg, d = 2.113 Å, I = 31; 44.08 deg, d = 2.054 Å, I = 31

Atomic structure:
```
HoMg4Cu
1.0
8.526 0.000 0.000
0.000 4.227 0.000
0.000 0.000 7.336
Ho Mg Cu
2 8 2
Direct
0.250 0.000 0.097 Ho
0.750 0.000 0.903 Ho
0.000 0.000 0.500 Mg
0.061 0.500 0.807 Mg
0.250 0.500 0.444 Mg
0.439 0.500 0.807 Mg
0.500 0.000 0.500 Mg
0.561 0.500 0.193 Mg
0.750 0.500 0.556 Mg
0.939 0.500 0.193 Mg
0.250 0.000 0.707 Cu
0.750 0.000 0.293 Cu
```

***

Simulated powder diffractogram
Compound: Sm7DyTm2
Radiation: Cu Kα
Structure: a crystal structure in Alexandria, relaxed with GGA-PBE

Top 10 peaks for 10° ≤ 2θ ≤ 80°, sorted by position:
30.49 deg, d = 2.932 Å, I = 100; 35.35 deg, d = 2.539 Å, I = 51; 50.83 deg, d = 1.796 Å, I = 18; 50.90 deg, d = 1.794 Å, I = 18; 60.41 deg, d = 1.532 Å, I = 18; 60.51 deg, d = 1.530 Å, I = 25; 63.41 deg, d = 1.467 Å, I = 6; 63.52 deg, d = 1.465 Å, I = 6; 74.71 deg, d = 1.271 Å, I = 2; 74.78 deg, d = 1.270 Å, I = 2

Atomic structure:
```
Sm7DyTm2
1.0
6.215 0.000 0.000
-1.023 6.132 0.000
-3.102 -2.612 8.588
Sm Dy Tm
7 1 2
Direct
0.000 0.000 0.000 Sm
0.198 0.000 0.399 Sm
0.201 0.503 0.900 Sm
0.402 0.501 0.301 Sm
0.598 0.499 0.699 Sm
0.799 0.497 0.100 Sm
0.802 0.000 0.601 Sm
0.000 0.500 0.500 Dy
0.400 0.999 0.800 Tm
0.600 0.001 0.200 Tm
```

***

Simulated powder diffractogram
Compound: Ba2Sr3CaMg2Si4O16
Radiation: Cu Kα
Structure: a crystal structure in Alexandria, relaxed with GGA-PBE

Top 10 peaks for 10° ≤ 2θ ≤ 80°, sorted by position:
22.41 deg, d = 3.967 Å, I = 56; 31.53 deg, d = 2.838 Å, I = 77; 32.28 deg, d = 2.773 Å, I = 100; 38.40 deg, d = 2.344 Å, I = 20; 39.65 deg, d = 2.273 Å, I = 34; 45.75 deg, d = 1.983 Å, I = 49; 51.01 deg, d = 1.790 Å, I = 22; 57.09 deg, d = 1.613 Å, I = 28; 57.56 deg, d = 1.601 Å, I = 18; 67.55 deg, d = 1.387 Å, I = 18

Atomic structure:
```
Ba2Sr3CaMg2Si4O16
1.0
5.547 0.000 0.000
-2.773 4.804 0.000
0.000 0.000 14.067
Ba Sr Ca Mg Si O
2 3 1 2 4 16
Direct
0.000 0.000 0.000 Ba
0.000 0.000 0.498 Ba
0.333 0.667 0.668 Sr
0.667 0.333 0.328 Sr
0.667 0.333 0.830 Sr
0.333 0.667 0.164 Ca
0.000 0.000 0.247 Mg
0.000 0.000 0.751 Mg
0.333 0.667 0.381 Si
0.333 0.667 0.888 Si
0.667 0.333 0.112 Si
0.667 0.333 0.614 Si
0.175 0.350 0.335 O
0.175 0.351 0.840 O
0.175 0.825 0.335 O
0.175 0.825 0.840 O
0.333 0.667 0.004 O
0.333 0.667 0.497 O
0.350 0.175 0.159 O
0.350 0.175 0.661 O
0.649 0.825 0.840 O
0.650 0.825 0.335 O
0.667 0.333 0.499 O
0.667 0.333 0.998 O
0.825 0.175 0.159 O
0.825 0.175 0.661 O
0.825 0.650 0.159 O
0.825 0.650 0.661 O
```